Starting from the GGA+U geometry in the Materials Project, the X-ray diffraction stick pattern of Li2MnVP3O12 was calculated for λ = 1.5418 Å (Cu Kα).
No peak broadening, texture or thermal motion is included.

The 6 most intense peaks (2θ = 10–90°), sorted by position:
| 2θ (°) | d (Å) | I/Imax |
| --- | --- | --- |
| 14.0 | 6.307 | 97 |
| 14.7 | 6.007 | 87 |
| 19.5 | 4.549 | 68 |
| 20.1 | 4.417 | 62 |
| 24.6 | 3.613 | 100 |
| 28.3 | 3.154 | 63 |

Unit cell a=8.277 b=8.360 c=8.872 alpha=117.24 beta=90.44 gamma=117.83
Sites, in units of the cell vectors:
Li  0.000  0.000  0.000
Li  0.159  0.799  0.277
Li  0.413  0.468  0.280
Li  0.653  0.237  0.769
Mn  0.431  0.094  0.188
Mn  0.733  0.704  0.091
V  0.230  0.687  0.577
V  0.934  0.108  0.702
P  0.043  0.607  0.893
P  0.119  0.188  0.384
P  0.328  0.182  0.886
P  0.541  0.896  0.386
P  0.615  0.899  0.892
P  0.835  0.624  0.393
O  0.067  0.194  0.552
O  0.097  0.609  0.729
O  0.175  0.231  0.860
O  0.215  0.746  0.052
O  0.220  0.417  0.416
O  0.263  0.113  0.348
O  0.287  0.977  0.719
O  0.294  0.154  0.052
O  0.338  0.776  0.403
O  0.464  0.774  0.710
O  0.531  0.358  0.925
O  0.564  0.054  0.335
O  0.569  0.717  0.250
O  0.586  0.074  0.028
O  0.596  0.740  0.941
O  0.631  0.450  0.348
O  0.683  0.023  0.571
O  0.816  0.015  0.869
O  0.881  0.675  0.243
O  0.881  0.833  0.565
O  0.898  0.682  0.927
O  0.933  0.371  0.844
O  0.943  0.043  0.224
O  0.987  0.579  0.431

Starting from the GGA+U geometry in the Materials Project, the X-ray diffraction stick pattern of KBaVO4 was calculated for λ = 1.5418 Å (Cu Kα).
No peak broadening, texture or thermal motion is included.

The 6 most intense peaks (2θ = 10–90°), sorted by position:
| 2θ (°) | d (Å) | I/Imax |
| --- | --- | --- |
| 16.9 | 5.235 | 47 |
| 28.3 | 3.150 | 100 |
| 29.4 | 3.043 | 56 |
| 29.7 | 3.013 | 52 |
| 38.9 | 2.314 | 37 |
| 41.4 | 2.181 | 36 |

Unit cell a=7.887 b=6.025 c=10.575 alpha=90.00 beta=90.00 gamma=90.00
Sites, in units of the cell vectors:
K  0.164  0.250  0.073
K  0.336  0.750  0.573
K  0.664  0.250  0.427
K  0.836  0.750  0.927
Ba  0.002  0.750  0.304
Ba  0.498  0.250  0.804
Ba  0.502  0.750  0.196
Ba  0.998  0.250  0.696
V  0.228  0.250  0.417
V  0.272  0.750  0.917
V  0.728  0.250  0.083
V  0.772  0.750  0.583
O  0.008  0.250  0.428
O  0.189  0.750  0.070
O  0.207  0.511  0.837
O  0.207  0.989  0.837
O  0.293  0.011  0.337
O  0.293  0.489  0.337
O  0.311  0.250  0.570
O  0.492  0.750  0.928
O  0.508  0.250  0.072
O  0.689  0.750  0.430
O  0.707  0.511  0.663
O  0.707  0.989  0.663
O  0.793  0.011  0.163
O  0.793  0.489  0.163
O  0.811  0.250  0.930
O  0.992  0.750  0.572